The following is a calculated powder X-ray diffraction pattern of PmNd5Bi5. It was derived from a structure optimized by DFT (PBE), using Cu Kα, 1.54184 Å.
Neutral-atom scattering factors, no anomalous dispersion.

Most intense lines, 2θ = 10–90°, by intensity:
Position (°2θ)  intensity
27.7  100
39.5  98
27.7  50
48.9  43
64.7  23
39.6  19
64.5  19
71.6  14

Structural model:
```
PmNd5Bi5
1.0
7.193 -3.231 0.000
7.193 3.231 0.000
-2.894 0.000 8.643
Pm Nd Bi
1 5 5
Direct
0.000 0.000 0.000
0.000 0.000 0.500
0.333 0.333 0.666
0.335 0.335 0.169
0.665 0.665 0.831
0.667 0.667 0.334
0.166 0.166 0.334
0.168 0.168 0.834
0.500 0.500 0.000
0.832 0.832 0.166
0.834 0.834 0.666
```